Theoretical X-ray powder pattern
Compound: MnCO3
Radiation: Cu Kα (weighted mean of Kα1 and Kα2)
Structure: DFT lattice parameters and positions (PBE+U)
Lines closer than 0.1° are merged.

Structure:
a = 4.943 Å, b = 4.943 Å, c = 5.622 Å
α = 107.20°, β = 107.20°, γ = 60.26°
Atoms (fractional coordinates):
Mn 0.206 0.794 0.500
Mn 0.794 0.206 0.000
C 0.110 0.499 0.881
C 0.499 0.110 0.381
O 0.098 0.231 0.815
O 0.231 0.098 0.315
O 0.326 0.529 0.817
O 0.529 0.326 0.317
O 0.731 0.911 0.515
O 0.911 0.731 0.015

The 10 most intense peaks (10 to 80 degrees two-theta), low angle first:
2θ/deg  intensity
21.0  19
22.1  43
24.5  36
29.4  100
33.6  20
33.9  27
36.8  54
42.8  18
46.5  19
46.7  28

Theoretical X-ray powder pattern
Compound: MnC2O6
Radiation: Cu Kα (weighted mean of Kα1 and Kα2)
Structure: DFT lattice parameters and positions (PBE+U)
Lines closer than 0.1° are merged.

Structure:
a = 5.273 Å, b = 7.380 Å, c = 6.849 Å
α = 90.00°, β = 114.01°, γ = 90.00°
Atoms (fractional coordinates):
Mn 0.000 0.000 0.000
Mn 0.000 0.500 0.500
C 0.118 0.235 0.361
C 0.118 0.265 0.861
C 0.882 0.735 0.139
C 0.882 0.765 0.639
O 0.110 0.750 0.109
O 0.110 0.750 0.609
O 0.187 0.093 0.287
O 0.187 0.407 0.787
O 0.279 0.124 0.919
O 0.279 0.376 0.419
O 0.721 0.624 0.581
O 0.721 0.876 0.081
O 0.813 0.593 0.213
O 0.813 0.907 0.713
O 0.890 0.250 0.391
O 0.890 0.250 0.891

The 10 most intense peaks (10 to 80 degrees two-theta), low angle first:
2θ/deg  intensity
18.4  100
18.6  80
21.8  46
22.0  14
31.1  31
36.2  12
41.1  8
45.2  8
57.2  8
59.7  8

Theoretical X-ray powder pattern
Compound: MnCO3
Radiation: Cu Kα (weighted mean of Kα1 and Kα2)
Structure: DFT lattice parameters and positions (PBE+U)
Lines closer than 0.1° are merged.

Structure:
a = 5.971 Å, b = 5.335 Å, c = 6.939 Å
α = 90.00°, β = 94.91°, γ = 90.00°
Atoms (fractional coordinates):
Mn 0.089 0.227 0.405
Mn 0.089 0.273 0.905
Mn 0.911 0.727 0.095
Mn 0.911 0.773 0.595
C 0.433 0.601 0.548
C 0.433 0.899 0.048
C 0.567 0.101 0.952
C 0.567 0.399 0.452
O 0.073 0.088 0.661
O 0.073 0.412 0.161
O 0.220 0.556 0.543
O 0.220 0.944 0.043
O 0.467 0.213 0.379
O 0.467 0.287 0.879
O 0.533 0.713 0.121
O 0.533 0.787 0.621
O 0.780 0.056 0.957
O 0.780 0.444 0.457
O 0.927 0.588 0.839
O 0.927 0.912 0.339

The 10 most intense peaks (10 to 80 degrees two-theta), low angle first:
2θ/deg  intensity
14.9  97
22.4  41
25.8  27
30.0  21
30.8  100
34.5  46
41.9  22
46.4  22
49.0  28
59.5  22

Which formula does entry 1 have?
MnCO3